No. 1
Theoretical XRD peak list of LiInBr2 for Cu Ka, from a PBE-relaxed structure.
Lines closer than 0.1° are merged.

Largest 8 diffraction maxima, most intense first, 2θ from 15° to 90°:
(hkl)  2theta  I_rel
1 1 0  27.4  100
1 1 -2  38.8  69
0 0 2  26.9  51
1 1 1  30.6  38
1 0 0  18.3  24
3 1 1  63.0  21
0 2 2  49.9  20
0 2 0  41.1  18

Structure:
```
data_LiInBr2
_chemical_formula_sum 'Li1 In1 Br2'
_space_group_name_H-M_alt 'P 1'
_space_group_IT_number 1
_cell_length_a 4.841
_cell_length_b 4.389
_cell_length_c 6.617
_cell_angle_alpha 90.00
_cell_angle_beta 90.07
_cell_angle_gamma 90.00
loop_
_space_group_symop_operation_xyz
'x,y,z'
loop_
_atom_site_label
_atom_site_fract_x
_atom_site_fract_y
_atom_site_fract_z
_atom_site_occupancy
Li1 0.000 0.000 0.000 1
In1 0.680 0.500 0.417 1
Br1 0.171 0.000 0.356 1
Br2 0.779 0.500 0.913 1
```

No. 2
Theoretical XRD peak list of Li3InBr6 for Cu Ka, from a PBE-relaxed structure.
Lines closer than 0.1° are merged.

Largest 8 diffraction maxima, most intense first, 2θ from 15° to 90°:
(hkl)  2theta  I_rel
2 -1 2  29.5  100
1 1 4  38.6  36
1 0 1  16.4  34
3 0 0  45.7  33
1 1 6  50.6  21
2 2 2  55.3  15
0 0 4  28.1  13
3 0 4  54.5  13

Structure:
```
data_Li3InBr6
_chemical_formula_sum 'Li6 In2 Br12'
_space_group_name_H-M_alt 'P 1'
_space_group_IT_number 1
_cell_length_a 6.883
_cell_length_b 6.883
_cell_length_c 12.701
_cell_angle_alpha 90.00
_cell_angle_beta 90.00
_cell_angle_gamma 120.00
loop_
_space_group_symop_operation_xyz
'x,y,z'
loop_
_atom_site_label
_atom_site_fract_x
_atom_site_fract_y
_atom_site_fract_z
_atom_site_occupancy
Li1 0.000 0.000 0.250 1
Li2 0.000 0.000 0.750 1
Li3 0.333 0.667 0.034 1
Li4 0.333 0.667 0.466 1
Li5 0.667 0.333 0.534 1
Li6 0.667 0.333 0.966 1
In1 0.333 0.667 0.750 1
In2 0.667 0.333 0.250 1
Br1 0.024 0.341 0.877 1
Br2 0.024 0.682 0.623 1
Br3 0.318 0.341 0.623 1
Br4 0.318 0.976 0.877 1
Br5 0.341 0.024 0.377 1
Br6 0.341 0.318 0.123 1
Br7 0.659 0.682 0.877 1
Br8 0.659 0.976 0.623 1
Br9 0.682 0.024 0.123 1
Br10 0.682 0.659 0.377 1
Br11 0.976 0.318 0.377 1
Br12 0.976 0.659 0.123 1
```

No. 3
Theoretical XRD peak list of LiIn2Br3 for Cu Ka, from a PBE-relaxed structure.
Lines closer than 0.1° are merged.

Largest 8 diffraction maxima, most intense first, 2θ from 15° to 90°:
(hkl)  2theta  I_rel
2 1 2  27.9  100
3 1 2  32.0  62
1 1 3  29.1  62
1 1 2  25.1  60
0 1 3  28.2  59
4 0 2  30.6  54
0 2 0  41.3  53
4 1 1  35.2  48

Structure:
```
data_LiIn2Br3
_chemical_formula_sum 'Li4 In8 Br12'
_space_group_name_H-M_alt 'P 1'
_space_group_IT_number 1
_cell_length_a 12.923
_cell_length_b 4.372
_cell_length_c 13.725
_cell_angle_alpha 90.00
_cell_angle_beta 90.00
_cell_angle_gamma 90.00
loop_
_space_group_symop_operation_xyz
'x,y,z'
loop_
_atom_site_label
_atom_site_fract_x
_atom_site_fract_y
_atom_site_fract_z
_atom_site_occupancy
Li1 0.244 0.250 0.204 1
Li2 0.256 0.750 0.704 1
Li3 0.744 0.250 0.296 1
Li4 0.756 0.750 0.796 1
In1 0.001 0.250 0.676 1
In2 0.171 0.750 0.989 1
In3 0.329 0.250 0.489 1
In4 0.499 0.750 0.176 1
In5 0.501 0.250 0.824 1
In6 0.671 0.750 0.511 1
In7 0.829 0.250 0.011 1
In8 0.999 0.750 0.324 1
Br1 0.060 0.250 0.137 1
Br2 0.137 0.750 0.559 1
Br3 0.218 0.250 0.795 1
Br4 0.282 0.750 0.295 1
Br5 0.363 0.250 0.059 1
Br6 0.440 0.750 0.637 1
Br7 0.560 0.250 0.363 1
Br8 0.637 0.750 0.941 1
Br9 0.718 0.250 0.705 1
Br10 0.782 0.750 0.205 1
Br11 0.863 0.250 0.441 1
Br12 0.940 0.750 0.863 1
```